This entry pairs a crystal structure of SrIn3Ir with its simulated powder diffraction line list. Radiation: Cu Kα (weighted mean of Kα1 and Kα2). Structure: a crystal structure in Alexandria, relaxed with PBE.
No peak broadening, texture or thermal motion is included.

Peak list (10 most intense, 2θ = 15–90°, by angle)
two_theta  d_spacing  I (rel.)
30.97  2.888  91
31.09  2.877  83
31.35  2.854  64
31.59  2.832  69
35.73  2.513  40
36.21  2.481  83
38.45  2.341  43
39.93  2.258  100
40.31  2.238  71
41.43  2.179  49

Atomic structure:
Lattice parameters (Å, degrees): 7.5505 4.5156 7.7500 90.00 105.62 90.00
Space group P2_1/m (No. 11)
Unique sites:
1 Sr 0.2068 0.2500 0.1796 (multiplicity 2)
2 In 0.0821 0.2500 0.6548 (multiplicity 2)
3 In 0.3453 0.7500 0.9105 (multiplicity 2)
4 In 0.3520 0.7500 0.5173 (multiplicity 2)
5 Ir 0.4558 0.2500 0.7373 (multiplicity 2)


This entry pairs a crystal structure of GaHg with its simulated powder diffraction line list. Radiation: Cu Kα (weighted mean of Kα1 and Kα2). Structure: a crystal structure in Alexandria, relaxed with PBE.
No peak broadening, texture or thermal motion is included.

Peak list (10 most intense, 2θ = 15–90°, by angle)
two_theta  d_spacing  I (rel.)
16.61  5.337  29
31.11  2.875  57
32.36  2.766  100
33.11  2.705  38
34.96  2.567  31
37.63  2.390  26
45.51  1.993  75
49.60  1.838  23
60.60  1.528  18
74.38  1.275  15

Atomic structure:
Lattice parameters (Å, degrees): 3.3916 14.3428 5.7493 90.00 90.00 90.00
Space group Imm2 (No. 44)
Unique sites:
1 Ga 0.0000 0.0000 0.0000 (multiplicity 2)
2 Ga 0.0000 0.3522 0.4576 (multiplicity 4)
3 Hg 0.0000 0.0000 0.4939 (multiplicity 2)
4 Hg 0.0000 0.3158 0.9613 (multiplicity 4)


This entry pairs a crystal structure of RbNa3I4 with its simulated powder diffraction line list. Radiation: Cu Kα (weighted mean of Kα1 and Kα2). Structure: a crystal structure in Alexandria, relaxed with PBE.
No peak broadening, texture or thermal motion is included.

Peak list (10 most intense, 2θ = 15–90°, by angle)
two_theta  d_spacing  I (rel.)
22.57  3.939  24
22.81  3.898  25
26.26  3.393  100
37.18  2.418  12
37.48  2.400  50
37.80  2.380  13
46.08  1.970  12
46.60  1.949  14
54.05  1.697  12
61.05  1.518  21

Atomic structure:
Lattice parameters (Å, degrees): 13.5803 9.6724 4.7602 90.00 90.07 90.00
Space group C2/m (No. 12)
Unique sites:
1 Rb 0.0000 0.0000 0.0000 (multiplicity 2)
2 Na 0.0000 0.5000 0.0000 (multiplicity 2)
3 Na 0.2500 0.2500 0.5000 (multiplicity 4)
4 I 0.0000 0.2740 0.5000 (multiplicity 4)
5 I 0.2383 0.5000 0.0019 (multiplicity 4)